Record 1
# Li2SmTl
Simulated XRD peak list, Cu Kα X-rays. Input: a cell relaxed with GGA-PBE.
Lines closer than 0.1° are merged.

Crystal structure
```
data_Li2SmTl
_space_group_name_H-M_alt 'F m -3 m'
_space_group_IT_number 225
_space_group_name_Hall '-F 4 2 3'
_cell_length_a 6.951
_cell_length_b 6.951
_cell_length_c 6.951
_cell_angle_alpha 90.00
_cell_angle_beta 90.00
_cell_angle_gamma 90.00
loop_
_atom_site_label
_atom_site_fract_x
_atom_site_fract_y
_atom_site_fract_z
_atom_site_occupancy
Li1 0.250 0.250 0.250 1
Sm1 0.000 0.000 0.000 1
Tl1 0.000 0.000 0.500 1
```

Principal peaks in the range 2θ from 10° to 80°, in order of falling intensity:
| 2θ/deg | I (rel.) |
| --- | --- |
| 25.63 | 100 |
| 36.56 | 90 |
| 59.47 | 40 |
| 65.82 | 33 |
| 45.19 | 30 |
| 52.67 | 16 |
| 77.71 | 10 |
| 22.15 | 4 |



Record 2
# La3Cd
Simulated XRD peak list, Cu Kα X-rays. Input: a cell relaxed with GGA-PBE.
Lines closer than 0.1° are merged.

Crystal structure
```
data_La3Cd
_space_group_name_H-M_alt 'P 63/m m c'
_space_group_IT_number 194
_space_group_name_Hall '-P 6c 2c'
_cell_length_a 7.2952
_cell_length_b 7.2952
_cell_length_c 5.6750
_cell_angle_alpha 90.00
_cell_angle_beta 90.00
_cell_angle_gamma 120.00
loop_
_atom_site_label
_atom_site_fract_x
_atom_site_fract_y
_atom_site_fract_z
_atom_site_occupancy
La1 0.1760 0.3520 0.2500 1
Cd1 0.3333 0.6667 0.7500 1
```

Principal peaks in the range 2θ from 10° to 80°, in order of falling intensity:
| 2θ/deg | I (rel.) |
| --- | --- |
| 32.44 | 100 |
| 31.53 | 24 |
| 28.25 | 24 |
| 60.33 | 21 |
| 56.72 | 20 |
| 50.00 | 20 |
| 42.84 | 15 |
| 60.88 | 15 |